# Rb4Tl3AgI8
Theoretical powder X-ray diffraction pattern, Cu Kα, 1.54184 Å. Input: a crystal structure in Alexandria, relaxed with GGA-PBE.
Peak positions follow from Bragg's law for the DFT cell and can differ from measured ones.

The 6 most intense peaks (2θ = 5–70°), most intense first:
2θ = 24.88°, d = 3.578 Å, I 100; 2θ = 35.40°, d = 2.535 Å, I 58; 2θ = 24.45°, d = 3.641 Å, I 57; 2θ = 34.95°, d = 2.567 Å, I 42; 2θ = 10.73°, d = 8.245 Å, I 22; 2θ = 43.54°, d = 2.078 Å, I 21

Structure:
```
16
Lattice="8.799 -5.063 0.000 8.799 5.063 0.000 -5.678 0.000 8.373" Properties=species:S:1:pos:R:3 pbc="T T T"
Rb 0.000 0.000 0.000
Rb 1.560 2.531 4.186
Rb 1.560 -2.531 4.186
Rb 8.799 0.000 0.000
Tl -2.839 0.000 4.186
Tl 4.400 2.531 0.000
Tl 4.400 -2.531 0.000
Ag 5.960 0.000 4.186
I 2.975 0.000 2.009
I 0.055 0.000 6.302
I 7.113 2.208 2.384
I 4.807 2.208 5.989
I 7.113 -2.208 2.384
I 4.807 -2.208 5.989
I 11.865 0.000 2.071
I 8.945 0.000 6.364
```